Structure and theoretical powder diffraction line list of CsTl2F3 (a DFT-relaxed cell (GGA-PBE, Alexandria); CuKα).
No peak broadening, texture or thermal motion is included.

```
CsTl2F3
1.0
6.111 -4.177 0.000
6.111 4.177 0.000
0.000 0.000 6.845
Cs Tl F
2 4 6
Direct
0.137 0.863 0.500 Cs
0.863 0.137 0.000 Cs
0.232 0.453 0.019 Tl
0.453 0.232 0.519 Tl
0.547 0.768 0.019 Tl
0.768 0.547 0.519 Tl
0.001 0.590 0.286 F
0.205 0.795 0.919 F
0.410 0.999 0.286 F
0.590 0.001 0.786 F
0.795 0.205 0.419 F
0.999 0.410 0.786 F
```

Most intense lines, 5° ≤ 2θ ≤ 70°, sorted by position:
| 2θ (°) | I (rel.) |
| --- | --- |
| 24.31 | 60 |
| 24.97 | 100 |
| 26.04 | 42 |
| 27.63 | 65 |
| 35.92 | 46 |
| 41.43 | 36 |
| 45.29 | 21 |
| 51.68 | 26 |

***

Structure and theoretical powder diffraction line list of YIn6Hg8 (a DFT-relaxed cell (GGA-PBE, Alexandria); CuKα).
No peak broadening, texture or thermal motion is included.

```
YIn6Hg8
1.0
4.439 2.563 6.190
-4.439 2.563 6.190
0.000 -5.126 6.190
Y In Hg
1 6 8
Direct
0.000 0.000 0.000 Y
0.109 0.431 0.724 In
0.276 0.891 0.569 In
0.431 0.724 0.109 In
0.569 0.276 0.891 In
0.724 0.109 0.431 In
0.891 0.569 0.276 In
0.066 0.778 0.407 Hg
0.222 0.593 0.934 Hg
0.328 0.328 0.328 Hg
0.407 0.066 0.778 Hg
0.593 0.934 0.222 Hg
0.672 0.672 0.672 Hg
0.778 0.407 0.066 Hg
0.934 0.222 0.593 Hg
```

Most intense lines, 5° ≤ 2θ ≤ 70°, sorted by position:
| 2θ (°) | I (rel.) |
| --- | --- |
| 20.00 | 15 |
| 24.68 | 43 |
| 28.85 | 22 |
| 35.01 | 100 |
| 35.36 | 76 |
| 45.98 | 29 |
| 50.61 | 25 |
| 63.02 | 23 |

***

Structure and theoretical powder diffraction line list of Tb2HoMg3 (a DFT-relaxed cell (GGA-PBE, Alexandria); CuKα).
No peak broadening, texture or thermal motion is included.

```
Tb2HoMg3
1.0
3.793 0.000 0.000
0.000 3.793 0.000
0.000 0.000 11.352
Tb Ho Mg
2 1 3
Direct
0.000 0.000 0.168 Tb
0.000 0.000 0.832 Tb
0.000 0.000 0.500 Ho
0.500 0.500 0.000 Mg
0.500 0.500 0.335 Mg
0.500 0.500 0.665 Mg
```

Most intense lines, 5° ≤ 2θ ≤ 70°, sorted by position:
| 2θ (°) | I (rel.) |
| --- | --- |
| 23.47 | 63 |
| 33.44 | 100 |
| 41.26 | 20 |
| 47.97 | 12 |
| 48.09 | 6 |
| 54.08 | 18 |
| 54.17 | 9 |
| 59.77 | 38 |

***

Structure and theoretical powder diffraction line list of Rb2ZrTe8 (a DFT-relaxed cell (GGA-PBE, Alexandria); CuKα).
No peak broadening, texture or thermal motion is included.

```
Rb2ZrTe8
1.0
7.254 0.000 0.000
-0.008 8.013 0.000
-0.342 -4.005 8.219
Rb Zr Te
2 1 8
Direct
0.187 0.183 0.366 Rb
0.813 0.817 0.634 Rb
0.500 0.500 0.000 Zr
0.129 0.566 0.131 Te
0.241 0.947 0.896 Te
0.401 0.137 0.737 Te
0.402 0.601 0.737 Te
0.598 0.399 0.263 Te
0.599 0.863 0.263 Te
0.759 0.053 0.104 Te
0.871 0.434 0.869 Te
```

Most intense lines, 5° ≤ 2θ ≤ 70°, sorted by position:
| 2θ (°) | I (rel.) |
| --- | --- |
| 10.76 | 80 |
| 22.81 | 67 |
| 25.39 | 100 |
| 26.46 | 51 |
| 27.32 | 93 |
| 32.36 | 67 |
| 33.26 | 82 |
| 45.31 | 58 |

***

Structure and theoretical powder diffraction line list of BaGeSb2H (a DFT-relaxed cell (GGA-PBE, Alexandria); CuKα).
No peak broadening, texture or thermal motion is included.

```
BaGeSb2H
1.0
6.446 0.000 0.000
0.000 6.446 0.000
0.000 0.000 4.204
Ba Ge Sb H
1 1 2 1
Direct
0.000 0.000 0.000 Ba
0.500 0.500 0.500 Ge
0.000 0.500 0.000 Sb
0.500 0.000 0.000 Sb
0.000 0.000 0.500 H
```

Most intense lines, 5° ≤ 2θ ≤ 70°, sorted by position:
| 2θ (°) | I (rel.) |
| --- | --- |
| 21.13 | 42 |
| 25.29 | 52 |
| 27.68 | 100 |
| 28.89 | 31 |
| 35.08 | 46 |
| 37.84 | 36 |
| 39.55 | 38 |
| 51.94 | 34 |

***

Structure and theoretical powder diffraction line list of SrH6CI3N3 (a DFT-relaxed cell (GGA-PBE, Alexandria); CuKα).
No peak broadening, texture or thermal motion is included.

```
SrH6CI3N3
1.0
9.553 0.000 0.000
0.000 8.442 0.000
-9.537 0.000 16.529
Sr H C I N
4 24 4 12 12
Direct
0.001 0.034 0.251 Sr
0.001 0.466 0.751 Sr
0.999 0.534 0.249 Sr
0.999 0.966 0.749 Sr
0.086 0.747 0.523 H
0.086 0.753 0.023 H
0.174 0.738 0.962 H
0.174 0.762 0.462 H
0.249 0.717 0.663 H
0.249 0.783 0.163 H
0.423 0.227 0.875 H
0.423 0.273 0.375 H
0.454 0.750 0.020 H
0.454 0.750 0.520 H
0.460 0.710 0.707 H
0.460 0.790 0.207 H
0.540 0.210 0.793 H
0.540 0.290 0.293 H
0.546 0.250 0.480 H
0.546 0.250 0.980 H
0.577 0.727 0.625 H
0.577 0.773 0.125 H
0.751 0.217 0.837 H
0.751 0.283 0.337 H
0.826 0.238 0.538 H
0.826 0.262 0.038 H
0.914 0.247 0.977 H
0.914 0.253 0.477 H
0.333 0.735 0.583 C
0.333 0.765 0.083 C
0.667 0.235 0.917 C
0.667 0.265 0.417 C
0.100 0.215 0.901 I
0.100 0.285 0.401 I
0.202 0.216 0.700 I
0.202 0.284 0.200 I
0.302 0.717 0.851 I
0.302 0.783 0.351 I
0.698 0.217 0.649 I
0.698 0.283 0.149 I
0.798 0.716 0.800 I
0.798 0.784 0.300 I
0.900 0.715 0.599 I
0.900 0.785 0.099 I
0.187 0.748 0.018 N
0.187 0.752 0.518 N
0.348 0.717 0.656 N
0.348 0.783 0.156 N
0.465 0.737 0.575 N
0.465 0.763 0.075 N
0.535 0.237 0.925 N
0.535 0.263 0.425 N
0.652 0.217 0.844 N
0.652 0.283 0.344 N
0.813 0.248 0.482 N
0.813 0.252 0.982 N
```

Most intense lines, 5° ≤ 2θ ≤ 70°, sorted by position:
| 2θ (°) | I (rel.) |
| --- | --- |
| 10.70 | 100 |
| 21.05 | 32 |
| 21.38 | 33 |
| 23.97 | 99 |
| 28.22 | 25 |
| 30.26 | 39 |
| 30.50 | 39 |
| 35.75 | 20 |

***

Repeat the second record exactly.
Structure and theoretical powder diffraction line list of YIn6Hg8 (a DFT-relaxed cell (GGA-PBE, Alexandria); CuKα).
No peak broadening, texture or thermal motion is included.

```
YIn6Hg8
1.0
4.439 2.563 6.190
-4.439 2.563 6.190
0.000 -5.126 6.190
Y In Hg
1 6 8
Direct
0.000 0.000 0.000 Y
0.109 0.431 0.724 In
0.276 0.891 0.569 In
0.431 0.724 0.109 In
0.569 0.276 0.891 In
0.724 0.109 0.431 In
0.891 0.569 0.276 In
0.066 0.778 0.407 Hg
0.222 0.593 0.934 Hg
0.328 0.328 0.328 Hg
0.407 0.066 0.778 Hg
0.593 0.934 0.222 Hg
0.672 0.672 0.672 Hg
0.778 0.407 0.066 Hg
0.934 0.222 0.593 Hg
```

Most intense lines, 5° ≤ 2θ ≤ 70°, sorted by position:
| 2θ (°) | I (rel.) |
| --- | --- |
| 20.00 | 15 |
| 24.68 | 43 |
| 28.85 | 22 |
| 35.01 | 100 |
| 35.36 | 76 |
| 45.98 | 29 |
| 50.61 | 25 |
| 63.02 | 23 |